1.
Calculated powder XRD pattern
Compound: CaV2Zn2Si2O10
Radiation: copper Kα
Structure: a DFT-relaxed cell (PBE+U, the Materials Project)

The 12 most intense peaks (15° ≤ 2θ ≤ 90°), in order of rising 2θ:
- 4.013 Å, I 33, (1 1 -1)
- 3.593 Å, I 71, (1 1 0)
- 3.354 Å, I 100, (1 0 -2)
- 3.296 Å, I 59, (0 1 -2)
- 3.246 Å, I 34, (0 0 2)
- 2.786 Å, I 36, (2 0 -1)
- 2.670 Å, I 38, (1 1 1)
- 2.598 Å, I 41, (-1 1 2)
- 2.584 Å, I 49, (1 -2 0)
- 2.469 Å, I 72, (2 -1 0)
- 2.423 Å, I 32, (2 1 -2)
- 2.341 Å, I 43, (1 2 0)

Cell lengths 5.5769, 5.8685, 7.2969 Å; angles 107.27, 110.23, 90.16 degrees
Space group P1 (No. 1)
Unique sites:
Ca1 0.0000 0.0000 0.0000 [1 per cell]
V1 0.9142 0.4249 0.6984 [1 per cell]
V2 0.9969 0.5338 0.2536 [1 per cell]
Zn1 0.4024 0.3213 0.9855 [1 per cell]
Zn2 0.6098 0.7600 0.4812 [1 per cell]
Si1 0.3219 0.1314 0.4914 [1 per cell]
Si2 0.5042 0.7688 0.9230 [1 per cell]
O1 0.0383 0.3812 0.9844 [1 per cell]
O2 0.1931 0.7175 0.8350 [1 per cell]
O3 0.2064 0.2127 0.6743 [1 per cell]
O4 0.2234 0.2739 0.3248 [1 per cell]
O5 0.2349 0.8337 0.3595 [1 per cell]
O6 0.5987 0.0586 0.0366 [1 per cell]
O7 0.6300 0.6301 0.0972 [1 per cell]
O8 0.6400 0.1326 0.5825 [1 per cell]
O9 0.6525 0.6838 0.7558 [1 per cell]
O10 0.8331 0.5195 0.4432 [1 per cell]



2.
Calculated powder XRD pattern
Compound: Li11V6O5F19
Radiation: copper Kα
Structure: a DFT-relaxed cell (PBE+U, the Materials Project)

The 12 most intense peaks (15° ≤ 2θ ≤ 90°), in order of rising 2θ:
- 5.299 Å, I 100, (0 0 3)
- 3.602 Å, I 30, (-1 1 1)
- 3.568 Å, I 37, (1 -1 2)
- 3.552 Å, I 31, (1 1 1)
- 3.530 Å, I 37, (1 1 -2)
- 2.723 Å, I 25, (0 2 -1)
- 2.649 Å, I 14, (0 0 6)
- 2.366 Å, I 26, (1 0 6)
- 2.328 Å, I 14, (-2 1 1)
- 2.301 Å, I 16, (2 1 1)
- 1.864 Å, I 15, (-1 1 7)
- 1.766 Å, I 15, (0 0 9)

Cell lengths 5.2598, 5.4469, 16.0830 Å; angles 98.73, 90.05, 90.80 degrees
Space group P1 (No. 1)
Unique sites:
Li1 0.0000 0.0000 0.0000 [1 per cell]
Li2 0.0009 0.6514 0.3349 [1 per cell]
Li3 0.4485 0.4885 0.9996 [1 per cell]
Li4 0.4503 0.1654 0.3309 [1 per cell]
Li5 0.4811 0.8072 0.6657 [1 per cell]
Li6 0.5026 0.1519 0.1243 [1 per cell]
Li7 0.5255 0.6640 0.4456 [1 per cell]
Li8 0.9333 0.1592 0.4449 [1 per cell]
Li9 0.9567 0.6485 0.1279 [1 per cell]
Li10 0.9634 0.9392 0.7827 [1 per cell]
Li11 0.9905 0.3353 0.6654 [1 per cell]
V1 0.4965 0.6846 0.2298 [1 per cell]
V2 0.4978 0.0065 0.8971 [1 per cell]
V3 0.5095 0.3154 0.5682 [1 per cell]
V4 0.9622 0.4773 0.8981 [1 per cell]
V5 0.9642 0.8199 0.5674 [1 per cell]
V6 0.9958 0.1281 0.2275 [1 per cell]
O1 0.3121 0.9728 0.2015 [1 per cell]
O2 0.6869 0.0416 0.5968 [1 per cell]
O3 0.7959 0.5388 0.5959 [1 per cell]
O4 0.7986 0.1948 0.9293 [1 per cell]
O5 0.8145 0.8406 0.2565 [1 per cell]
F1 0.0952 0.2695 0.3482 [1 per cell]
F2 0.0982 0.6102 0.0138 [1 per cell]
F3 0.1272 0.9331 0.6829 [1 per cell]
F4 0.1533 0.8111 0.8754 [1 per cell]
F5 0.1706 0.4602 0.1971 [1 per cell]
F6 0.1759 0.1144 0.5298 [1 per cell]
F7 0.3000 0.6243 0.5322 [1 per cell]
F8 0.3028 0.3084 0.8760 [1 per cell]
F9 0.3416 0.4425 0.6750 [1 per cell]
F10 0.3534 0.1106 0.0136 [1 per cell]
F11 0.3602 0.7511 0.3476 [1 per cell]
F12 0.5965 0.2830 0.4387 [1 per cell]
F13 0.5989 0.5394 0.1098 [1 per cell]
F14 0.6062 0.8970 0.7827 [1 per cell]
F15 0.6580 0.7012 0.9367 [1 per cell]
F16 0.6744 0.3539 0.2586 [1 per cell]
F17 0.8556 0.0508 0.1091 [1 per cell]
F18 0.8608 0.7847 0.4400 [1 per cell]
F19 0.8890 0.4086 0.7819 [1 per cell]



3.
Calculated powder XRD pattern
Compound: Li4CrW3O12
Radiation: copper Kα
Structure: a DFT-relaxed cell (PBE+U, the Materials Project)

The 12 most intense peaks (15° ≤ 2θ ≤ 90°), in order of rising 2θ:
- 4.422 Å, I 47, (0 1 1)
- 4.342 Å, I 100, (1 1 0)
- 4.318 Å, I 9, (0 2 0)
- 3.309 Å, I 10, (0 2 1)
- 2.768 Å, I 36, (1 2 -1)
- 2.757 Å, I 36, (1 2 1)
- 2.574 Å, I 13, (0 0 2)
- 2.512 Å, I 29, (0 3 1)
- 2.219 Å, I 14, (1 1 -2)
- 2.209 Å, I 16, (1 1 2)
- 1.779 Å, I 13, (2 3 -1)
- 1.773 Å, I 13, (2 3 1)

Cell lengths 5.0227, 8.6367, 5.1474 Å; angles 90.00, 90.38, 90.00 degrees
Space group P2 (No. 3)
Unique sites:
Li1 0.0000 0.0000 0.0000 [1 per cell]
Li2 0.0000 0.3452 0.5000 [1 per cell]
Li3 0.5000 0.4833 0.5000 [1 per cell]
Li4 0.5000 0.8763 0.0000 [1 per cell]
Cr1 0.5000 0.0877 0.5000 [1 per cell]
W1 0.0000 0.5765 0.0000 [1 per cell]
W2 0.0000 0.7883 0.5000 [1 per cell]
W3 0.5000 0.2585 0.0000 [1 per cell]
O1 0.1996 0.6014 0.3225 [2 per cell]
O2 0.2071 0.7563 0.8146 [2 per cell]
O3 0.2420 0.9252 0.3497 [2 per cell]
O4 0.2547 0.4207 0.8613 [2 per cell]
O5 0.2959 0.0979 0.8307 [2 per cell]
O6 0.3012 0.2594 0.3202 [2 per cell]